Structure and theoretical XRD peak list of Cd3B (a crystal structure in the Materials Project, relaxed with PBE; a wavelength of 1.5418 Å).

Cell lengths 4.1023, 4.1023, 8.8594 Å; angles 90.00, 90.00, 90.00 degrees
Space group I4/mmm (No. 139)
Inequivalent atoms, fractional coordinates:
Cd  0.0000  0.0000  0.0000 x2
Cd  0.0000  0.5000  0.2500 x4
B  0.0000  0.0000  0.5000 x2

Most intense lines, 2θ = 5–70°, by intensity:
hkl 1 1 2, d = 2.427 Å, 37.05°, I 100.0
hkl 2 0 0, d = 2.051 Å, 44.15°, I 29.9
hkl 1 0 1, d = 3.723 Å, 23.90°, I 28.2
hkl 2 0 4, d = 1.505 Å, 61.63°, I 21.1
hkl 0 0 4, d = 2.215 Å, 40.74°, I 19.0
hkl 0 0 2, d = 4.430 Å, 20.04°, I 10.6
hkl 2 2 0, d = 1.450 Å, 64.22°, I 9.3
hkl 1 0 3, d = 2.397 Å, 37.53°, I 8.9
hkl 1 1 0, d = 2.901 Å, 30.82°, I 7.5
hkl 2 1 1, d = 1.796 Å, 50.82°, I 7.3